1.
Starting from a DFT-relaxed cell (PBE, the Materials Project), the powder diffraction line list of Ta2Bi2O9 was simulated for Cu Kα (λ = 1.5418 Å).
Neutral-atom scattering factors, no anomalous dispersion.

Cell and atoms:
```
data_Ta2Bi2O9
_chemical_formula_sum 'Ta4 Bi4 O18'
_cell_length_a 5.3232
_cell_length_b 5.3190
_cell_length_c 14.9908
_cell_angle_alpha 90.00
_cell_angle_beta 99.63
_cell_angle_gamma 90.00
_space_group_name_H-M_alt 'C 1 2/m 1'
_space_group_IT_number 12
_space_group_name_Hall '-C 2y'
loop_
_atom_site_label
_atom_site_fract_x
_atom_site_fract_y
_atom_site_fract_z
Ta1 0.0635 0.0000 0.1287
Bi1 0.2130 0.0000 0.4085
O1 0.0000 0.0000 0.0000
O2 0.0000 0.2504 0.5000
O3 0.1702 0.2495 0.8390
O4 0.1698 0.5000 0.3598
```

Largest 10 diffraction maxima, by angle, 15 to 90 degrees two-theta:
23.84°, I = 100, (1 1 -1); 24.09°, I = 52, (0 0 4); 31.74°, I = 60, (1 1 3); 31.98°, I = 56, (1 1 -4); 33.69°, I = 54, (0 2 0); 41.85°, I = 23, (0 2 4); 48.38°, I = 31, (2 2 -1); 52.24°, I = 18, (1 1 7); 52.58°, I = 17, (1 1 -8); 54.62°, I = 32, (2 2 3)

=====

2.
Starting from a DFT-relaxed cell (PBE, the Materials Project), the powder diffraction line list of CaTlCl3 was simulated for Cu Kα (λ = 1.5418 Å).
Neutral-atom scattering factors, no anomalous dispersion.

Cell and atoms:
```
data_CaTlCl3
_chemical_formula_sum 'Ca2 Tl2 Cl6'
_cell_length_a 7.6353
_cell_length_b 7.6384
_cell_length_c 5.3977
_cell_angle_alpha 90.00
_cell_angle_beta 90.02
_cell_angle_gamma 90.00
_space_group_name_H-M_alt 'C 1 m 1'
_space_group_IT_number 8
_space_group_name_Hall 'C -2y'
loop_
_atom_site_label
_atom_site_fract_x
_atom_site_fract_y
_atom_site_fract_z
Ca1 0.0000 0.0000 0.0000
Tl1 0.0024 0.5000 0.4820
Cl1 0.2486 0.2507 0.0029
Cl2 0.4876 0.5000 0.5000
```

Largest 10 diffraction maxima, by angle, 15 to 90 degrees two-theta:
16.42°, I = 35, (0 0 1); 23.30°, I = 100, (1 1 -1); 28.64°, I = 68, (2 0 1); 33.19°, I = 60, (2 2 0); 37.24°, I = 22, (1 1 -2); 40.94°, I = 48, (3 1 -1); 47.64°, I = 41, (0 4 0); 53.68°, I = 22, (3 3 -1); 56.53°, I = 28, (2 4 1); 64.59°, I = 25, (5 1 -1)

=====

3.
Starting from a DFT-relaxed cell (PBE, the Materials Project), the powder diffraction line list of Li4Ce3Ge4 was simulated for Cu Kα (λ = 1.5418 Å).
Neutral-atom scattering factors, no anomalous dispersion.

Cell and atoms:
```
data_Li4Ce3Ge4
_chemical_formula_sum 'Li8 Ce6 Ge8'
_cell_length_a 4.4855
_cell_length_b 6.8066
_cell_length_c 14.5578
_cell_angle_alpha 90.00
_cell_angle_beta 90.00
_cell_angle_gamma 90.00
_space_group_name_H-M_alt 'I m m m'
_space_group_IT_number 71
_space_group_name_Hall '-I 2 2'
loop_
_atom_site_label
_atom_site_fract_x
_atom_site_fract_y
_atom_site_fract_z
Li1 0.0000 0.1893 0.1704
Ce1 0.0000 0.0000 0.3697
Ce2 0.0000 0.5000 0.5000
Ge1 0.0000 0.3117 0.0000
Ge2 0.0000 0.5000 0.2862
```

Largest 10 diffraction maxima, by angle, 15 to 90 degrees two-theta:
20.72°, I = 23, (1 0 1); 22.50°, I = 17, (0 1 3); 26.18°, I = 31, (0 2 0); 27.07°, I = 26, (1 0 3); 33.47°, I = 25, (0 1 5); 33.62°, I = 75, (1 2 1); 34.36°, I = 100, (1 1 4); 40.21°, I = 29, (2 0 0); 51.03°, I = 16, (0 3 5); 69.31°, I = 26, (2 4 0)

=====

4.
Starting from a DFT-relaxed cell (PBE, the Materials Project), the powder diffraction line list of CaO2 was simulated for Cu Kα (λ = 1.5418 Å).
Neutral-atom scattering factors, no anomalous dispersion.

Cell and atoms:
```
data_CaO2
_chemical_formula_sum 'Ca2 O4'
_cell_length_a 3.2960
_cell_length_b 3.2960
_cell_length_c 6.9931
_cell_angle_alpha 90.00
_cell_angle_beta 90.00
_cell_angle_gamma 90.00
_space_group_name_H-M_alt 'I 4/m m m'
_space_group_IT_number 139
_space_group_name_Hall '-I 4 2'
loop_
_atom_site_label
_atom_site_fract_x
_atom_site_fract_y
_atom_site_fract_z
Ca1 0.0000 0.0000 0.0000
O1 0.0000 0.0000 0.3914
```

Largest 10 diffraction maxima, by angle, 15 to 90 degrees two-theta:
25.47°, I = 70, (0 0 2); 29.97°, I = 18, (1 0 1); 38.63°, I = 100, (1 1 0); 46.85°, I = 46, (1 1 2); 47.79°, I = 58, (1 0 3); 55.78°, I = 28, (2 0 0); 62.28°, I = 17, (2 0 2); 73.56°, I = 20, (1 0 5); 76.46°, I = 23, (2 1 3); 82.84°, I = 8, (2 2 0)

=====

5.
Starting from a DFT-relaxed cell (PBE, the Materials Project), the powder diffraction line list of RbAlF4 was simulated for Cu Kα (λ = 1.5418 Å).
Neutral-atom scattering factors, no anomalous dispersion.

Cell and atoms:
```
data_RbAlF4
_chemical_formula_sum 'Rb2 Al2 F8'
_cell_length_a 5.2149
_cell_length_b 5.2149
_cell_length_c 6.4095
_cell_angle_alpha 90.00
_cell_angle_beta 90.00
_cell_angle_gamma 90.00
_space_group_name_H-M_alt 'P 4/m b m'
_space_group_IT_number 127
_space_group_name_Hall '-P 4 2ab'
loop_
_atom_site_label
_atom_site_fract_x
_atom_site_fract_y
_atom_site_fract_z
Rb1 0.0000 0.5000 0.0000
Al1 0.0000 0.0000 0.5000
F1 0.0000 0.0000 0.2215
F2 0.2152 0.2848 0.5000
```

Largest 10 diffraction maxima, by angle, 15 to 90 degrees two-theta:
27.90°, I = 100, (0 0 2); 34.39°, I = 27, (2 0 0); 37.20°, I = 64, (2 0 1); 49.29°, I = 24, (1 1 3); 49.43°, I = 22, (2 2 0); 57.71°, I = 32, (3 1 1); 63.44°, I = 10, (3 1 2); 72.39°, I = 16, (3 1 3); 79.20°, I = 9, (2 2 4); 79.36°, I = 7, (4 0 2)

=====

6.
Starting from a DFT-relaxed cell (PBE, the Materials Project), the powder diffraction line list of Rb3IrN6O12 was simulated for Cu Kα (λ = 1.5418 Å).
Neutral-atom scattering factors, no anomalous dispersion.

Cell and atoms:
```
data_Rb3IrN6O12
_chemical_formula_sum 'Rb12 Ir4 N24 O48'
_cell_length_a 11.2938
_cell_length_b 11.2938
_cell_length_c 11.2938
_cell_angle_alpha 90.00
_cell_angle_beta 90.00
_cell_angle_gamma 90.00
_space_group_name_H-M_alt 'F m -3 m'
_space_group_IT_number 225
_space_group_name_Hall '-F 4 2 3'
loop_
_atom_site_label
_atom_site_fract_x
_atom_site_fract_y
_atom_site_fract_z
Rb1 0.0000 0.0000 0.0000
Rb2 0.2500 0.2500 0.2500
Ir1 0.0000 0.0000 0.5000
N1 0.0000 0.0000 0.3232
O1 0.0000 0.2096 0.2904
```

Largest 10 diffraction maxima, by angle, 15 to 90 degrees two-theta:
22.26°, I = 100, (2 2 0); 27.36°, I = 13, (2 2 2); 31.69°, I = 61, (4 0 0); 39.07°, I = 54, (4 2 2); 41.55°, I = 10, (5 1 1); 45.43°, I = 32, (4 4 0); 51.15°, I = 28, (6 2 0); 61.44°, I = 32, (6 4 2); 70.79°, I = 21, (6 6 0); 88.23°, I = 20, (8 6 2)

=====

Copy entry 2 word for word.
Starting from a DFT-relaxed cell (PBE, the Materials Project), the powder diffraction line list of CaTlCl3 was simulated for Cu Kα (λ = 1.5418 Å).
Neutral-atom scattering factors, no anomalous dispersion.

Cell and atoms:
```
data_CaTlCl3
_chemical_formula_sum 'Ca2 Tl2 Cl6'
_cell_length_a 7.6353
_cell_length_b 7.6384
_cell_length_c 5.3977
_cell_angle_alpha 90.00
_cell_angle_beta 90.02
_cell_angle_gamma 90.00
_space_group_name_H-M_alt 'C 1 m 1'
_space_group_IT_number 8
_space_group_name_Hall 'C -2y'
loop_
_atom_site_label
_atom_site_fract_x
_atom_site_fract_y
_atom_site_fract_z
Ca1 0.0000 0.0000 0.0000
Tl1 0.0024 0.5000 0.4820
Cl1 0.2486 0.2507 0.0029
Cl2 0.4876 0.5000 0.5000
```

Largest 10 diffraction maxima, by angle, 15 to 90 degrees two-theta:
16.42°, I = 35, (0 0 1); 23.30°, I = 100, (1 1 -1); 28.64°, I = 68, (2 0 1); 33.19°, I = 60, (2 2 0); 37.24°, I = 22, (1 1 -2); 40.94°, I = 48, (3 1 -1); 47.64°, I = 41, (0 4 0); 53.68°, I = 22, (3 3 -1); 56.53°, I = 28, (2 4 1); 64.59°, I = 25, (5 1 -1)